Diffraction record for Tb6Ga2TeSe3. The X-ray powder pattern is simulated, not measured: it uses the PBE geometry in Alexandria and Cu Kα X-rays.
Neutral-atom scattering factors, no anomalous dispersion.

Structure:
```
data_Tb6Ga2TeSe3
_symmetry_space_group_name_H-M 'C 1 2/m 1'
_symmetry_Int_Tables_number 12
_cell_length_a 18.3445
_cell_length_b 4.0573
_cell_length_c 8.6119
_cell_angle_alpha 90.00
_cell_angle_beta 104.04
_cell_angle_gamma 90.00
loop_
_symmetry_equiv_pos_as_xyz
'x,y,z'
'-x,-y,-z'
'-x,y,-z'
'x,-y,z'
'x+1/2,y+1/2,z'
'-x+1/2,-y+1/2,-z'
'-x+1/2,y+1/2,-z'
'x+1/2,-y+1/2,z'
loop_
_atom_site_label
_atom_site_type_symbol
_atom_site_fract_x
_atom_site_fract_y
_atom_site_fract_z
Tb1 Tb 0.0068 0.0000 0.2676
Tb2 Tb 0.1668 0.5000 0.5875
Tb3 Tb 0.1716 0.5000 0.0940
Ga1 Ga 0.1689 0.0000 0.3389
Te1 Te 0.0000 0.5000 0.0000
Se1 Se 0.0000 0.5000 0.5000
Se2 Se 0.1622 0.0000 0.8368
```

Principal peaks in the range 2θ from 10° to 90°, in order of rising 2θ:
2theta	I/Imax	index
30.1	51	6 0 0
30.3	100	1 1 -2
42.0	20	2 0 -4
43.1	38	7 1 -2
43.4	36	5 1 2
54.8	19	6 2 0

Diffraction record for GaTcSe. The X-ray powder pattern is simulated, not measured: it uses the PBE geometry in Alexandria and Cu Kα X-rays.
Neutral-atom scattering factors, no anomalous dispersion.

Structure:
```
data_GaTcSe
_symmetry_space_group_name_H-M 'P 4 m m'
_symmetry_Int_Tables_number 99
_cell_length_a 3.0711
_cell_length_b 3.0711
_cell_length_c 5.6145
_cell_angle_alpha 90.00
_cell_angle_beta 90.00
_cell_angle_gamma 90.00
loop_
_symmetry_equiv_pos_as_xyz
'x,y,z'
'-y,x,z'
'-x,-y,z'
'y,-x,z'
'-x,y,z'
'y,x,z'
'x,-y,z'
'-y,-x,z'
loop_
_atom_site_label
_atom_site_type_symbol
_atom_site_fract_x
_atom_site_fract_y
_atom_site_fract_z
Ga1 Ga 0.0000 0.0000 0.0000
Tc1 Tc 0.5000 0.5000 0.2817
Se1 Se 0.0000 0.0000 0.5346
```

Principal peaks in the range 2θ from 10° to 90°, in order of rising 2θ:
2theta	I/Imax	index
15.8	40	0 0 1
33.3	48	1 0 1
41.6	60	1 1 0
43.7	100	1 0 2
60.3	19	2 0 0
77.3	36	2 1 2

Diffraction record for TlGaTc2Se. The X-ray powder pattern is simulated, not measured: it uses the PBE geometry in Alexandria and Cu Kα X-rays.
Neutral-atom scattering factors, no anomalous dispersion.

Structure:
```
data_TlGaTc2Se
_symmetry_space_group_name_H-M 'P 4/m m m'
_symmetry_Int_Tables_number 123
_symmetry_space_group_name_Hall '-P 4 2'
_cell_length_a 4.6514
_cell_length_b 4.6514
_cell_length_c 5.0837
_cell_angle_alpha 90.00
_cell_angle_beta 90.00
_cell_angle_gamma 90.00
loop_
_atom_site_label
_atom_site_type_symbol
_atom_site_fract_x
_atom_site_fract_y
_atom_site_fract_z
Tl1 Tl 0.0000 0.0000 0.0000
Ga1 Ga 0.5000 0.5000 0.0000
Tc1 Tc 0.0000 0.5000 0.5000
Se1 Se 0.5000 0.5000 0.5000
```

Principal peaks in the range 2θ from 10° to 90°, in order of rising 2θ:
2theta	I/Imax	index
26.0	48	1 0 1
32.4	100	1 1 1
35.3	39	0 0 2
38.7	61	2 0 0
53.4	48	2 0 2
66.1	25	3 1 1